# BaCaNiBiO6
Computed powder diffraction line list, Cu Kα X-rays. Input: a cell relaxed with GGA+U.
Lines closer than 0.1° are merged.

Main lines, by angle (2θ from 10° to 90°):
Position (°2θ)  I_rel
18.7  334
21.6  121
30.8  1000
36.2  217
44.1  317
48.3  105
54.7  402
64.1  194
72.8  176
89.2  219

Crystal structure
Unit cell a=5.812 b=5.812 c=5.812 alpha=60.00 beta=60.00 gamma=60.00
Atoms (fractional coordinates):
Ba (0.000, 0.000, 0.000)
Ca (0.500, 0.500, 0.500)
Ni (0.250, 0.250, 0.250)
Bi (0.750, 0.750, 0.750)
O (0.006, 0.006, 0.494)
O (0.006, 0.494, 0.006)
O (0.006, 0.494, 0.494)
O (0.494, 0.006, 0.006)
O (0.494, 0.006, 0.494)
O (0.494, 0.494, 0.006)


# Pr2Fe2S2O3
Computed powder diffraction line list, Cu Kα X-rays. Input: a cell relaxed with GGA+U.
Lines closer than 0.1° are merged.

Main lines, by angle (2θ from 10° to 90°):
Position (°2θ)  I_rel
26.4  927
29.7  225
31.0  253
32.6  528
33.2  1000
37.0  307
44.5  530
51.5  427
52.5  293
56.6  411

Crystal structure
Unit cell a=9.466 b=9.466 c=9.466 alpha=155.14 beta=155.14 gamma=35.45
Atoms (fractional coordinates):
Pr (0.183, 0.183, 0.000)
Pr (0.817, 0.817, 0.000)
Fe (0.000, 0.500, 0.500)
Fe (0.500, 0.000, 0.500)
S (0.404, 0.404, 0.000)
S (0.596, 0.596, 0.000)
O (0.000, 0.000, 0.000)
O (0.250, 0.750, 0.500)
O (0.750, 0.250, 0.500)


# Li2V3WO8
Computed powder diffraction line list, Cu Kα X-rays. Input: a cell relaxed with GGA+U.
Lines closer than 0.1° are merged.

Main lines, by angle (2θ from 10° to 90°):
Position (°2θ)  I_rel
19.3  1000
25.0  268
32.4  336
35.1  446
35.8  205
44.6  188
47.2  151
54.5  181
59.0  177
61.9  153

Crystal structure
Unit cell a=5.997 b=5.997 c=9.804 alpha=90.00 beta=90.00 gamma=120.00
Atoms (fractional coordinates):
Li (0.000, 0.000, 0.000)
Li (0.000, 0.000, 0.500)
Li (0.333, 0.667, 0.408)
Li (0.667, 0.333, 0.908)
V (0.171, 0.341, 0.721)
V (0.171, 0.829, 0.721)
V (0.341, 0.171, 0.221)
V (0.659, 0.829, 0.721)
V (0.829, 0.171, 0.221)
V (0.829, 0.659, 0.221)
W (0.333, 0.667, 0.993)
W (0.667, 0.333, 0.493)
O (0.000, 0.000, 0.316)
O (0.000, 0.000, 0.816)
O (0.038, 0.519, 0.852)
O (0.172, 0.344, 0.101)
O (0.172, 0.828, 0.101)
O (0.333, 0.667, 0.615)
O (0.344, 0.172, 0.601)
O (0.481, 0.519, 0.852)
O (0.481, 0.962, 0.852)
O (0.519, 0.038, 0.352)
O (0.519, 0.481, 0.352)
O (0.656, 0.828, 0.101)
O (0.667, 0.333, 0.115)
O (0.828, 0.172, 0.601)
O (0.828, 0.656, 0.601)
O (0.962, 0.481, 0.352)


# Li2MnF4
Computed powder diffraction line list, Cu Kα X-rays. Input: a cell relaxed with GGA+U.
Lines closer than 0.1° are merged.

Main lines, by angle (2θ from 10° to 90°):
Position (°2θ)  I_rel
17.9  517
20.5  1000
32.9  211
41.0  336
41.6  197
41.9  469
42.4  715
45.4  454
56.6  192
60.1  175

Crystal structure
Unit cell a=5.053 b=5.053 c=9.902 alpha=90.00 beta=90.00 gamma=145.74
Atoms (fractional coordinates):
Li (0.126, 0.874, 0.561)
Li (0.126, 0.874, 0.939)
Li (0.874, 0.126, 0.061)
Li (0.874, 0.126, 0.439)
Mn (0.382, 0.618, 0.750)
Mn (0.618, 0.382, 0.250)
F (0.042, 0.958, 0.750)
F (0.221, 0.779, 0.118)
F (0.221, 0.779, 0.382)
F (0.500, 0.500, 0.000)
F (0.500, 0.500, 0.500)
F (0.779, 0.221, 0.618)
F (0.779, 0.221, 0.882)
F (0.958, 0.042, 0.250)


# Ca2SnWO6
Computed powder diffraction line list, Cu Kα X-rays. Input: a cell relaxed with GGA+U.
Lines closer than 0.1° are merged.

Main lines, by angle (2θ from 10° to 90°):
Position (°2θ)  I_rel
21.9  505
22.1  1000
31.2  928
31.4  876
31.6  415
31.7  405
44.6  247
55.5  262
56.0  415
56.2  318

Crystal structure
Unit cell a=5.648 b=5.667 c=5.705 alpha=119.48 beta=90.15 gamma=119.51
Atoms (fractional coordinates):
Ca (0.000, 0.000, 0.000)
Ca (0.499, 0.998, 0.494)
Sn (0.229, 0.460, 0.685)
W (0.728, 0.458, 0.182)
O (0.080, 0.965, 0.408)
O (0.374, 0.948, 0.904)
O (0.469, 0.539, 0.414)
O (0.575, 0.540, 0.918)
O (0.879, 0.340, 0.405)
O (0.951, 0.338, 0.907)


# LiMnO2
Computed powder diffraction line list, Cu Kα X-rays. Input: a cell relaxed with GGA+U.
Lines closer than 0.1° are merged.

Main lines, by angle (2θ from 10° to 90°):
Position (°2θ)  I_rel
23.2  1000
23.9  940
37.0  321
41.8  573
43.4  504
43.7  464
61.8  296
62.0  276
63.3  257
78.7  245

Crystal structure
Unit cell a=9.349 b=4.167 c=4.326 alpha=90.00 beta=117.53 gamma=90.00
Atoms (fractional coordinates):
Li (0.126, 0.000, 0.376)
Li (0.374, 0.500, 0.624)
Li (0.626, 0.500, 0.376)
Li (0.874, 0.000, 0.624)
Mn (0.124, 0.500, 0.876)
Mn (0.376, 0.000, 0.124)
Mn (0.624, 0.000, 0.876)
Mn (0.876, 0.500, 0.124)
O (0.107, 0.500, 0.356)
O (0.142, 0.000, 0.892)
O (0.358, 0.500, 0.108)
O (0.393, 0.000, 0.644)
O (0.607, 0.000, 0.356)
O (0.642, 0.500, 0.892)
O (0.858, 0.000, 0.108)
O (0.893, 0.500, 0.644)